# 1
Starting from a cell relaxed with PBE, the XRD peak list of TlCuP3O9 was calculated for CuKα.

Peak list (12 most intense, 10 to 90 degrees two-theta, by intensity)
2θ/deg	I (rel.)	(hkl)
24.51	100.0	1 2 1
22.93	81.4	1 2 -1
29.63	69.0	1 0 -4
16.71	68.5	1 0 0
25.59	43.1	0 2 3
25.07	42.7	1 2 -2
31.72	41.2	0 4 1
20.51	36.3	0 2 2
37.74	34.9	0 2 5
27.94	34.0	1 2 2
21.18	24.9	1 1 -2
34.46	24.2	1 0 4

Cell and atoms:
a = 5.3892 Å, b = 11.5568 Å, c = 13.2636 Å
α = 90.00°, β = 99.41°, γ = 90.00°
Space group P2_1/c (No. 14)
One atom of each set of equivalent atoms:
Tl (0.0673, 0.1723, 0.2556) (multiplicity 4)
Cu (0.0000, 0.0000, 0.0000) (multiplicity 2)
Cu (0.0000, 0.0000, 0.5000) (multiplicity 2)
P (0.2493, 0.7473, 0.0081) (multiplicity 4)
P (0.4851, 0.5880, 0.8702) (multiplicity 4)
P (0.4887, 0.0754, 0.8526) (multiplicity 4)
O (0.0592, 0.6611, 0.4682) (multiplicity 4)
O (0.1573, 0.6454, 0.0630) (multiplicity 4)
O (0.2186, 0.0418, 0.8349) (multiplicity 4)
O (0.2323, 0.0893, 0.5996) (multiplicity 4)
O (0.3169, 0.0116, 0.0996) (multiplicity 4)
O (0.3280, 0.0135, 0.3896) (multiplicity 4)
O (0.3763, 0.7072, 0.9132) (multiplicity 4)
O (0.4244, 0.6260, 0.7509) (multiplicity 4)
O (0.4824, 0.6962, 0.5829) (multiplicity 4)


# 2
Starting from a cell relaxed with PBE, the XRD peak list of TmCu5 was calculated for CuKα.

Peak list (12 most intense, 10 to 90 degrees two-theta, by intensity)
2θ/deg	I (rel.)	(hkl)
43.00	100.0	3 1 1
36.43	45.8	2 2 0
70.09	29.6	5 1 1
45.02	25.4	2 2 2
77.39	21.7	4 4 0
65.56	16.0	4 2 2
25.54	10.4	2 0 0
22.07	10.1	1 1 1
88.69	7.2	6 2 0
59.24	3.9	4 2 0
57.60	3.0	3 3 1
83.07	2.2	4 4 2

Cell and atoms:
a = 6.9758 Å, b = 6.9758 Å, c = 6.9758 Å
α = 90.00°, β = 90.00°, γ = 90.00°
Space group F-43m (No. 216)
One atom of each set of equivalent atoms:
Tm (0.0000, 0.0000, 0.0000) (multiplicity 4)
Cu (0.1240, 0.1240, 0.3760) (multiplicity 16)
Cu (0.2500, 0.2500, 0.7500) (multiplicity 4)


# 3
Starting from a cell relaxed with PBE, the XRD peak list of Y2Zr2O7 was calculated for CuKα.

Peak list (12 most intense, 10 to 90 degrees two-theta, by intensity)
2θ/deg	I (rel.)	(hkl)
24.51	100.0	0 2 1
24.22	42.9	1 1 1
28.02	35.4	2 0 -1
47.02	29.6	1 3 2
32.03	27.9	2 2 0
40.94	24.7	3 1 -1
15.86	21.3	1 1 0
33.72	15.9	1 3 -1
55.26	15.9	3 3 -2
33.08	15.3	2 0 1
33.97	13.9	1 1 -2
57.04	11.7	1 3 -3

Cell and atoms:
a = 6.9786 Å, b = 9.6266 Å, c = 5.6281 Å
α = 90.00°, β = 100.35°, γ = 90.00°
Space group C2/m (No. 12)
One atom of each set of equivalent atoms:
Y (0.0000, 0.1899, 0.0000) (multiplicity 4)
Zr (0.2434, 0.0000, 0.6029) (multiplicity 4)
O (0.0000, 0.5000, 0.5000) (multiplicity 2)
O (0.0578, 0.0000, 0.2693) (multiplicity 4)
O (0.2310, 0.3267, 0.1973) (multiplicity 8)


# 4
Starting from a cell relaxed with PBE, the XRD peak list of K2PtCl4 was calculated for CuKα.

Peak list (12 most intense, 10 to 90 degrees two-theta, by intensity)
2θ/deg	I (rel.)	(hkl)
12.46	100.0	1 0 0
27.44	56.7	1 1 1
24.36	43.1	1 0 1
35.74	30.7	2 2 0
45.64	26.1	3 1 1
20.85	24.4	0 0 1
35.23	23.8	2 1 1
28.08	21.2	2 1 0
51.06	15.0	3 2 1
56.64	14.9	2 2 2
41.74	14.3	2 2 1
17.65	11.8	1 1 0

Cell and atoms:
a = 7.1059 Å, b = 7.1059 Å, c = 4.2614 Å
α = 90.00°, β = 90.00°, γ = 90.00°
Space group P4/mmm (No. 123)
One atom of each set of equivalent atoms:
K (0.0000, 0.5000, 0.0000) (multiplicity 2)
Pt (0.0000, 0.0000, 0.5000) (multiplicity 1)
Cl (0.2317, 0.2317, 0.5000) (multiplicity 4)